Theoretical powder XRD pattern of YHo6Mg2 for Cu Kα, 1.54184 Å, from the PBE geometry in Alexandria.
No peak broadening, texture or thermal motion is included.

Structure:
```
YHo6Mg2
1.0
3.3016 1.9062 7.2328
-3.3016 1.9062 7.2328
0.0000 -3.8124 7.2328
Y Ho Mg
1 6 2
Cartesian
0.0000 0.0000 0.0000 Y
-1.5276 -1.1919 8.4589 Ho
-1.8105 -0.6440 11.8401 Ho
-0.2685 1.9189 8.4590 Ho
1.7960 -0.7269 8.4590 Ho
1.4630 -1.2459 11.8401 Ho
0.3475 1.8899 11.8401 Ho
0.0000 0.0000 3.0280 Mg
0.0000 0.0000 5.9198 Mg
```

Largest 10 diffraction maxima, low angle first, 2θ from 10° to 90°:
2θ/deg	I/Imax
16.03	18.6
24.62	65.1
29.75	45.2
31.56	100.0
32.38	30.8
32.87	21.4
36.86	31.9
37.67	39.6
43.04	27.7
55.68	17.2